Entry 1:
Na2Nb4Se4O19: simulated XRD peak list (Cu Kα (weighted mean of Kα1 and Kα2)), based on a structure optimized by DFT (PBE).
Lines closer than 0.1° are merged.

Structural model:
Unit cell a=4.0145 b=10.3685 c=11.1237 alpha=106.08 beta=90.05 gamma=97.42
Element x y z (fractional)
Na (0.2235, 0.0629, 0.1393)
Na (0.7765, 0.9371, 0.8607)
Nb (0.3391, 0.1875, 0.7041)
Nb (0.4318, 0.4463, 0.3188)
Nb (0.5682, 0.5537, 0.6812)
Nb (0.6609, 0.8125, 0.2959)
Se (0.2857, 0.7172, 0.9866)
Se (0.3444, 0.8255, 0.5846)
Se (0.6556, 0.1745, 0.4154)
Se (0.7143, 0.2828, 0.0134)
O (0.0289, 0.5699, 0.6909)
O (0.1197, 0.8234, 0.2946)
O (0.2449, 0.8662, 0.9589)
O (0.3177, 0.9761, 0.6976)
O (0.3535, 0.1227, 0.5116)
O (0.3963, 0.2259, 0.8902)
O (0.3972, 0.2380, 0.3276)
O (0.4362, 0.3527, 0.1260)
O (0.4575, 0.3720, 0.6992)
O (0.5000, 0.5000, 0.5000)
O (0.5425, 0.6280, 0.3008)
O (0.5638, 0.6473, 0.8740)
O (0.6028, 0.7620, 0.6724)
O (0.6037, 0.7741, 0.1098)
O (0.6465, 0.8773, 0.4884)
O (0.6823, 0.0239, 0.3024)
O (0.7551, 0.1338, 0.0411)
O (0.8803, 0.1766, 0.7054)
O (0.9711, 0.4301, 0.3091)

Main lines, in order of falling intensity (2θ = 10–90°):
| 2theta | I_rel |
| --- | --- |
| 26.0 | 100 |
| 22.3 | 100 |
| 25.0 | 98 |
| 27.4 | 76 |
| 17.6 | 62 |
| 28.4 | 56 |
| 28.9 | 46 |
| 33.4 | 46 |
| 29.4 | 36 |
| 24.2 | 34 |
| 27.1 | 32 |
| 18.0 | 32 |

***

Entry 2:
MgAl4Cu2O8: simulated XRD peak list (Cu Kα (weighted mean of Kα1 and Kα2)), based on a structure optimized by DFT (PBE).
Lines closer than 0.1° are merged.

Structural model:
Unit cell a=6.0592 b=6.0592 c=6.0592 alpha=56.64 beta=56.64 gamma=56.64
Element x y z (fractional)
Mg (0.0000, 0.0000, 0.0000)
Al (0.0000, 0.5000, 0.5000)
Al (0.5000, 0.0000, 0.5000)
Al (0.5000, 0.5000, 0.0000)
Al (0.5000, 0.5000, 0.5000)
Cu (0.1562, 0.1562, 0.1562)
Cu (0.8438, 0.8438, 0.8438)
O (0.2564, 0.2564, 0.7132)
O (0.2564, 0.7132, 0.2564)
O (0.2780, 0.2780, 0.2780)
O (0.2868, 0.7436, 0.7436)
O (0.7132, 0.2564, 0.2564)
O (0.7220, 0.7220, 0.7220)
O (0.7436, 0.2868, 0.7436)
O (0.7436, 0.7436, 0.2868)

Main lines, in order of falling intensity (2θ = 10–90°):
| 2theta | I_rel |
| --- | --- |
| 35.9 | 100 |
| 31.1 | 89 |
| 47.8 | 51 |
| 64.9 | 48 |
| 36.6 | 44 |
| 56.2 | 35 |
| 43.5 | 27 |
| 29.6 | 25 |
| 58.5 | 24 |
| 61.4 | 19 |
| 63.9 | 19 |
| 67.5 | 17 |

***

Entry 3:
HfZn22: simulated XRD peak list (Cu Kα (weighted mean of Kα1 and Kα2)), based on a structure optimized by DFT (PBE).
Lines closer than 0.1° are merged.

Structural model:
Unit cell a=9.9975 b=9.9975 c=9.9975 alpha=60.00 beta=60.00 gamma=60.00
Element x y z (fractional)
Hf (0.1250, 0.1250, 0.1250)
Hf (0.8750, 0.8750, 0.8750)
Zn (0.0000, 0.0000, 0.0000)
Zn (0.0000, 0.0000, 0.5000)
Zn (0.0000, 0.5000, 0.0000)
Zn (0.0000, 0.5000, 0.5000)
Zn (0.0584, 0.3181, 0.3181)
Zn (0.0584, 0.3181, 0.8054)
Zn (0.0584, 0.8054, 0.3181)
Zn (0.1946, 0.6819, 0.6819)
Zn (0.1946, 0.6819, 0.9416)
Zn (0.1946, 0.9416, 0.6819)
Zn (0.2355, 0.2355, 0.5145)
Zn (0.2355, 0.5145, 0.2355)
Zn (0.2355, 0.5145, 0.5145)
Zn (0.3181, 0.0584, 0.3181)
Zn (0.3181, 0.0584, 0.8054)
Zn (0.3181, 0.3181, 0.0584)
Zn (0.3181, 0.3181, 0.8054)
Zn (0.3181, 0.8054, 0.0584)
Zn (0.3181, 0.8054, 0.3181)
Zn (0.4855, 0.4855, 0.7645)
Zn (0.4855, 0.7645, 0.4855)
Zn (0.4855, 0.7645, 0.7645)
Zn (0.5000, 0.0000, 0.0000)
Zn (0.5000, 0.0000, 0.5000)
Zn (0.5000, 0.5000, 0.0000)
Zn (0.5000, 0.5000, 0.5000)
Zn (0.5145, 0.2355, 0.2355)
Zn (0.5145, 0.2355, 0.5145)
Zn (0.5145, 0.5145, 0.2355)
Zn (0.6819, 0.1946, 0.6819)
Zn (0.6819, 0.1946, 0.9416)
Zn (0.6819, 0.6819, 0.1946)
Zn (0.6819, 0.6819, 0.9416)
Zn (0.6819, 0.9416, 0.1946)
Zn (0.6819, 0.9416, 0.6819)
Zn (0.7645, 0.4855, 0.4855)
Zn (0.7645, 0.4855, 0.7645)
Zn (0.7645, 0.7645, 0.4855)
Zn (0.8054, 0.0584, 0.3181)
Zn (0.8054, 0.3181, 0.0584)
Zn (0.8054, 0.3181, 0.3181)
Zn (0.9416, 0.1946, 0.6819)
Zn (0.9416, 0.6819, 0.1946)
Zn (0.9416, 0.6819, 0.6819)

Main lines, in order of falling intensity (2θ = 10–90°):
| 2theta | I_rel |
| --- | --- |
| 37.6 | 100 |
| 41.9 | 81 |
| 42.4 | 72 |
| 40.3 | 57 |
| 76.2 | 46 |
| 55.1 | 22 |
| 65.7 | 20 |
| 77.2 | 19 |
| 69.0 | 19 |
| 35.9 | 19 |
| 80.0 | 18 |
| 53.0 | 16 |

***

Entry 4:
LiAl4Zn2O8: simulated XRD peak list (Cu Kα (weighted mean of Kα1 and Kα2)), based on a structure optimized by DFT (PBE).
Lines closer than 0.1° are merged.

Structural model:
Unit cell a=5.7481 b=5.7481 c=5.9709 alpha=117.28 beta=117.28 gamma=60.54
Element x y z (fractional)
Li (0.0000, 0.0000, 0.0000)
Al (0.1404, 0.1404, 0.4493)
Al (0.5000, 0.5000, 0.0000)
Al (0.5000, 0.5000, 0.5000)
Al (0.8596, 0.8596, 0.5507)
Zn (0.0000, 0.5000, 0.0000)
Zn (0.5000, 0.0000, 0.0000)
O (0.2586, 0.7301, 0.7459)
O (0.2636, 0.2636, 0.2986)
O (0.2699, 0.7414, 0.2541)
O (0.2793, 0.2793, 0.7997)
O (0.7207, 0.7207, 0.2003)
O (0.7301, 0.2586, 0.7459)
O (0.7364, 0.7364, 0.7014)
O (0.7414, 0.2699, 0.2541)

Main lines, in order of falling intensity (2θ = 10–90°):
| 2theta | I_rel |
| --- | --- |
| 36.5 | 100 |
| 43.6 | 98 |
| 35.7 | 77 |
| 17.5 | 55 |
| 19.0 | 53 |
| 64.9 | 46 |
| 43.0 | 46 |
| 60.8 | 43 |
| 21.1 | 33 |
| 34.2 | 30 |
| 35.5 | 30 |
| 30.0 | 29 |

***

Entry 5:
SmBC: simulated XRD peak list (Cu Kα (weighted mean of Kα1 and Kα2)), based on a structure optimized by DFT (PBE).
Lines closer than 0.1° are merged.

Structural model:
Unit cell a=8.2955 b=8.3269 c=12.2664 alpha=90.00 beta=90.00 gamma=90.00
Element x y z (fractional)
Sm (0.0504, 0.0982, 0.1405)
Sm (0.0612, 0.6965, 0.6331)
Sm (0.1581, 0.5910, 0.9029)
Sm (0.1594, 0.9922, 0.4216)
Sm (0.2456, 0.2882, 0.6753)
Sm (0.2544, 0.7118, 0.1753)
Sm (0.3406, 0.0078, 0.9216)
Sm (0.3419, 0.4090, 0.4029)
Sm (0.4388, 0.3035, 0.1331)
Sm (0.4496, 0.9018, 0.6405)
Sm (0.5504, 0.4018, 0.8595)
Sm (0.5612, 0.8035, 0.3669)
Sm (0.6581, 0.9090, 0.0971)
Sm (0.6594, 0.5078, 0.5784)
Sm (0.7456, 0.2118, 0.3247)
Sm (0.7544, 0.7882, 0.8247)
Sm (0.8406, 0.4922, 0.0784)
Sm (0.8419, 0.0910, 0.5971)
Sm (0.9388, 0.1965, 0.8669)
Sm (0.9496, 0.5982, 0.3595)
B (0.0183, 0.8894, 0.9594)
B (0.0617, 0.2961, 0.3198)
B (0.0963, 0.9762, 0.7391)
B (0.1180, 0.4008, 0.2130)
B (0.1840, 0.3053, 0.9914)
B (0.3160, 0.6947, 0.4914)
B (0.3820, 0.5992, 0.7130)
B (0.4037, 0.0238, 0.2391)
B (0.4383, 0.7039, 0.8198)
B (0.4817, 0.1106, 0.4594)
B (0.5183, 0.6106, 0.0406)
B (0.5617, 0.2039, 0.6802)
B (0.5963, 0.5238, 0.2609)
B (0.6180, 0.0992, 0.7870)
B (0.6840, 0.1947, 0.0086)
B (0.8160, 0.8053, 0.5086)
B (0.8820, 0.9008, 0.2870)
B (0.9037, 0.4762, 0.7609)
B (0.9383, 0.7961, 0.1802)
B (0.9817, 0.3894, 0.5406)
C (0.0248, 0.3044, 0.4381)
C (0.0564, 0.8875, 0.8412)
C (0.1463, 0.3993, 0.0922)
C (0.1462, 0.9954, 0.6248)
C (0.2462, 0.2965, 0.8794)
C (0.2538, 0.7035, 0.3794)
C (0.3538, 0.0046, 0.1248)
C (0.3537, 0.6007, 0.5922)
C (0.4436, 0.1125, 0.3412)
C (0.4752, 0.6956, 0.9381)
C (0.5248, 0.1956, 0.5619)
C (0.5564, 0.6125, 0.1588)
C (0.6463, 0.1007, 0.9078)
C (0.6462, 0.5046, 0.3752)
C (0.7462, 0.2035, 0.1206)
C (0.7538, 0.7965, 0.6206)
C (0.8538, 0.4954, 0.8752)
C (0.8537, 0.8993, 0.4078)
C (0.9436, 0.3875, 0.6588)
C (0.9752, 0.8044, 0.0619)

Main lines, in order of falling intensity (2θ = 10–90°):
| 2theta | I_rel |
| --- | --- |
| 32.6 | 100 |
| 25.0 | 85 |
| 35.0 | 83 |
| 28.1 | 57 |
| 29.1 | 45 |
| 37.2 | 40 |
| 31.1 | 39 |
| 23.9 | 35 |
| 34.9 | 30 |
| 49.6 | 28 |
| 38.0 | 27 |
| 50.9 | 26 |

***

Entry 6:
TiCl3: simulated XRD peak list (Cu Kα (weighted mean of Kα1 and Kα2)), based on a structure optimized by DFT (PBE).
Lines closer than 0.1° are merged.

Structural model:
Unit cell a=6.7372 b=6.7372 c=5.7215 alpha=90.00 beta=90.00 gamma=120.00
Element x y z (fractional)
Ti (0.0000, 0.0000, 0.0000)
Ti (0.0000, 0.0000, 0.5000)
Cl (0.0000, 0.2886, 0.2500)
Cl (0.0000, 0.7114, 0.7500)
Cl (0.2886, 0.0000, 0.2500)
Cl (0.2886, 0.2886, 0.7500)
Cl (0.7114, 0.0000, 0.7500)
Cl (0.7114, 0.7114, 0.2500)

Main lines, in order of falling intensity (2θ = 10–90°):
| 2theta | I_rel |
| --- | --- |
| 15.2 | 100 |
| 30.8 | 56 |
| 41.4 | 28 |
| 46.7 | 17 |
| 44.3 | 14 |
| 52.4 | 12 |
| 56.9 | 11 |
| 44.0 | 10 |
| 55.4 | 8 |
| 79.0 | 6 |
| 64.2 | 6 |
| 84.0 | 6 |

***

Entry 7:
Cs2GaAuI6: simulated XRD peak list (Cu Kα (weighted mean of Kα1 and Kα2)), based on a structure optimized by DFT (PBE).
Lines closer than 0.1° are merged.

Structural model:
Unit cell a=8.3193 b=8.3193 c=8.3193 alpha=60.00 beta=60.00 gamma=60.00
Element x y z (fractional)
Cs (0.2500, 0.2500, 0.2500)
Cs (0.7500, 0.7500, 0.7500)
Ga (0.0000, 0.0000, 0.0000)
Au (0.5000, 0.5000, 0.5000)
I (0.2478, 0.2478, 0.7522)
I (0.2478, 0.7522, 0.2478)
I (0.2478, 0.7522, 0.7522)
I (0.7522, 0.2478, 0.2478)
I (0.7522, 0.2478, 0.7522)
I (0.7522, 0.7522, 0.2478)

Main lines, in order of falling intensity (2θ = 10–90°):
| 2theta | I_rel |
| --- | --- |
| 30.4 | 100 |
| 43.5 | 74 |
| 26.2 | 65 |
| 71.8 | 33 |
| 51.5 | 29 |
| 54.0 | 26 |
| 79.9 | 25 |
| 21.4 | 22 |
| 15.1 | 22 |
| 34.1 | 12 |
| 63.2 | 12 |
| 69.7 | 12 |

***

Entry 8:
Dy3AlFeS7: simulated XRD peak list (Cu Kα (weighted mean of Kα1 and Kα2)), based on a structure optimized by DFT (PBE).
Lines closer than 0.1° are merged.

Structural model:
Unit cell a=9.5638 b=9.5638 c=6.0190 alpha=90.00 beta=90.00 gamma=120.00
Element x y z (fractional)
Dy (0.1437, 0.3714, 0.0000)
Dy (0.2277, 0.8563, 0.0000)
Dy (0.3714, 0.2277, 0.5000)
Dy (0.6286, 0.7723, 0.0000)
Dy (0.7723, 0.1437, 0.5000)
Dy (0.8563, 0.6286, 0.5000)
Al (0.3333, 0.6667, 0.4294)
Al (0.6667, 0.3333, 0.9294)
Fe (0.0000, 0.0000, 0.3149)
Fe (0.0000, 0.0000, 0.8149)
S (0.0880, 0.2199, 0.5721)
S (0.0904, 0.5764, 0.2738)
S (0.1319, 0.9120, 0.5721)
S (0.2199, 0.1319, 0.0721)
S (0.3333, 0.6667, 0.7988)
S (0.4236, 0.5140, 0.2738)
S (0.4860, 0.9096, 0.2738)
S (0.5140, 0.0904, 0.7738)
S (0.5764, 0.4860, 0.7738)
S (0.6667, 0.3333, 0.2988)
S (0.7801, 0.8681, 0.5721)
S (0.8681, 0.0880, 0.0721)
S (0.9096, 0.4236, 0.7738)
S (0.9120, 0.7801, 0.0721)

Main lines, in order of falling intensity (2θ = 10–90°):
| 2theta | I_rel |
| --- | --- |
| 26.1 | 100 |
| 18.2 | 45 |
| 36.9 | 37 |
| 42.1 | 36 |
| 28.5 | 33 |
| 41.6 | 31 |
| 37.6 | 31 |
| 35.8 | 30 |
| 50.5 | 30 |
| 23.8 | 28 |
| 52.9 | 23 |
| 35.2 | 18 |